No. 1
For MgSi2, a structure optimized by DFT (GGA-PBE) gives the calculated powder XRD pattern in this record (Cu Kα (weighted mean of Kα1 and Kα2)).

Structure:
Cell: 3.612 6.169 9.277 Å, 84.83 89.15 88.77°
Element x y z (fractional)
Mg  0.247  0.446  0.208
Mg  0.250  0.853  0.591
Mg  0.750  0.147  0.409
Mg  0.753  0.554  0.792
Si  0.226  0.873  0.882
Si  0.247  0.373  0.568
Si  0.253  0.861  0.282
Si  0.279  0.245  0.937
Si  0.721  0.755  0.063
Si  0.747  0.139  0.718
Si  0.753  0.627  0.432
Si  0.774  0.127  0.118

Peak list (8 most intense, 10° ≤ 2θ ≤ 80°, low angle first)
d [Å]  2θ (°)  I_rel
2.528  35.5  40
2.361  38.1  100
2.329  38.7  68
2.317  38.9  37
2.279  39.5  55
2.083  43.4  12
1.806  50.5  32
1.727  53.0  12

No. 2
For Ba2NF, a structure optimized by DFT (GGA-PBE) gives the calculated powder XRD pattern in this record (Cu Kα (weighted mean of Kα1 and Kα2)).

Structure:
Cell: 5.741 5.741 11.644 Å, 90.00 90.00 90.00°
Element x y z (fractional)
Ba  0.000  0.250  0.106
Ba  0.000  0.250  0.644
Ba  0.000  0.750  0.356
Ba  0.000  0.750  0.894
Ba  0.500  0.250  0.394
Ba  0.500  0.250  0.856
Ba  0.500  0.750  0.144
Ba  0.500  0.750  0.606
N  0.000  0.250  0.875
N  0.000  0.750  0.125
N  0.500  0.250  0.625
N  0.500  0.750  0.375
F  0.000  0.250  0.375
F  0.000  0.750  0.625
F  0.500  0.250  0.125
F  0.500  0.750  0.875

Peak list (8 most intense, 10° ≤ 2θ ≤ 80°, low angle first)
d [Å]  2θ (°)  I_rel
3.330  26.8  100
2.911  30.7  26
2.870  31.2  62
2.044  44.3  36
2.030  44.6  22
1.733  52.8  32
1.665  55.2  19
1.284  73.8  10

No. 3
For BeZnO3, a structure optimized by DFT (GGA-PBE) gives the calculated powder XRD pattern in this record (Cu Kα (weighted mean of Kα1 and Kα2)).

Structure:
Cell: 3.503 3.503 3.503 Å, 90.00 90.00 90.00°
Element x y z (fractional)
Be  0.000  0.000  0.000
Zn  0.500  0.500  0.500
O  0.000  0.000  0.500
O  0.000  0.500  0.000
O  0.500  0.000  0.000

Peak list (7 most intense, 10° ≤ 2θ ≤ 80°, low angle first)
d [Å]  2θ (°)  I_rel
3.503  25.4  62
2.477  36.3  82
2.023  44.8  100
1.752  52.2  54
1.567  59.0  27
1.430  65.2  30
1.239  77.0  29

No. 4
For DyP2Pd2, a structure optimized by DFT (GGA-PBE) gives the calculated powder XRD pattern in this record (Cu Kα (weighted mean of Kα1 and Kα2)).

Structure:
Cell: 4.093 4.093 9.925 Å, 90.00 90.00 90.00°
Element x y z (fractional)
Dy  0.000  0.000  0.000
Dy  0.500  0.500  0.500
P  0.000  0.000  0.389
P  0.000  0.000  0.611
P  0.500  0.500  0.111
P  0.500  0.500  0.889
Pd  0.000  0.500  0.250
Pd  0.000  0.500  0.750
Pd  0.500  0.000  0.250
Pd  0.500  0.000  0.750

Peak list (8 most intense, 10° ≤ 2θ ≤ 80°, low angle first)
d [Å]  2θ (°)  I_rel
3.784  23.5  24
2.573  34.9  26
2.500  35.9  100
2.481  36.2  17
2.047  44.3  35
1.579  58.5  17
1.436  64.9  14
1.252  76.0  22